Computed PXRD pattern
Compound: Ac7Sm5
Radiation: copper Kα
Structure: DFT lattice parameters and positions (PBE)

Crystal structure
a b c (Å): 20.0197 3.8767 14.1341
angles (deg): 90.00 118.28 90.00
Space group C2/m (No. 12)
Unique sites:
Ac1 0.0000 0.0000 0.0000 x2
Ac2 0.0285 0.5000 0.2516 x4
Ac3 0.1417 0.0000 0.7557 x4
Ac4 0.1680 0.0000 0.5059 x4
Sm1 0.0000 0.5000 0.5000 x2
Sm2 0.1694 0.5000 0.0071 x4
Sm3 0.1922 0.0000 0.2453 x4

Main lines, by angle (5 to 70 degrees two-theta):
two_theta  intensity
27.6  38
27.7  18
28.7  42
30.3  100
30.4  21
34.4  26
47.1  22
51.8  22
56.1  26
56.9  14